Calculated powder XRD pattern of SrCa16Mg12 for Cu Kα (λ = 1.5418 Å), from a crystal structure in Alexandria, relaxed with GGA-PBE.
Peak positions follow from Bragg's law for the DFT cell and can differ from measured ones.

Atomic structure:
abc: 12.498 17.789 10.756
angles: 90.00 125.21 90.00
Space group Cm (No. 8)
Symmetry-distinct sites (fractional):
1 Sr 0.000 0.000 0.000 (multiplicity 2)
2 Ca 0.046 0.150 0.275 (multiplicity 4)
3 Ca 0.077 0.202 0.959 (multiplicity 4)
4 Ca 0.089 0.500 0.273 (multiplicity 2)
5 Ca 0.091 0.500 0.617 (multiplicity 2)
6 Ca 0.147 0.156 0.673 (multiplicity 4)
7 Ca 0.246 0.342 0.870 (multiplicity 4)
8 Ca 0.253 0.000 0.929 (multiplicity 2)
9 Ca 0.257 0.332 0.270 (multiplicity 4)
10 Ca 0.272 0.000 0.548 (multiplicity 2)
11 Ca 0.389 0.201 0.583 (multiplicity 4)
12 Mg 0.094 0.321 0.456 (multiplicity 4)
13 Mg 0.265 0.500 0.088 (multiplicity 2)
14 Mg 0.322 0.091 0.275 (multiplicity 4)
15 Mg 0.362 0.410 0.632 (multiplicity 4)
16 Mg 0.409 0.179 0.089 (multiplicity 4)
17 Mg 0.451 0.500 0.448 (multiplicity 2)
18 Mg 0.497 0.091 0.906 (multiplicity 4)

Principal peaks in the range 2θ = 10–80°, sorted by position:
Position (°2θ)	d/Å	Rel. int.	(hkl)
28.6	3.125	21	0 4 2
30.2	2.960	47	0 6 0
30.3	2.951	100	3 3 0
30.4	2.940	100	3 3 -3
30.5	2.929	16	0 0 3
33.5	2.675	22	3 5 -2
33.8	2.649	12	3 1 -4
53.7	1.707	16	1 9 2
53.8	1.703	18	7 3 -3
54.0	1.697	14	2 6 -5

=====

Calculated powder XRD pattern of Sm7Er3 for Cu Kα (λ = 1.5418 Å), from a crystal structure in Alexandria, relaxed with GGA-PBE.
Peak positions follow from Bragg's law for the DFT cell and can differ from measured ones.

Atomic structure:
abc: 11.1877 11.1877 6.1209
angles: 90.00 90.00 120.00
Space group P6_3mc (No. 186)
Symmetry-distinct sites (fractional):
1 Sm 0.0546 0.5273 0.0000 (multiplicity 6)
2 Sm 0.1169 0.2339 0.1215 (multiplicity 6)
3 Sm 0.3333 0.6667 0.1971 (multiplicity 2)
4 Er 0.2204 0.4408 0.6120 (multiplicity 6)

Principal peaks in the range 2θ = 10–80°, sorted by position:
Position (°2θ)	d/Å	Rel. int.	(hkl)
27.6	3.230	16	3 0 0
28.4	3.143	22	2 1 1
29.2	3.060	23	0 0 2
31.3	2.856	100	3 0 1
32.0	2.797	13	2 2 0
33.4	2.686	12	3 1 0
34.7	2.587	21	2 0 2
48.8	1.865	20	3 3 0
57.9	1.592	17	3 3 2
59.2	1.561	13	6 0 1

=====

Calculated powder XRD pattern of Cs2KTe3 for Cu Kα (λ = 1.5418 Å), from a crystal structure in Alexandria, relaxed with GGA-PBE.
Peak positions follow from Bragg's law for the DFT cell and can differ from measured ones.

Atomic structure:
abc: 17.749 10.926 6.176
angles: 90.00 90.00 90.00
Space group Cmcm (No. 63)
Symmetry-distinct sites (fractional):
1 Cs 0.167 0.171 0.250 (multiplicity 8)
2 K 0.000 0.367 0.750 (multiplicity 4)
3 Te 0.000 0.042 0.750 (multiplicity 4)
4 Te 0.161 0.500 0.000 (multiplicity 8)

Principal peaks in the range 2θ = 10–80°, sorted by position:
Position (°2θ)	d/Å	Rel. int.	(hkl)
16.2	5.463	22	0 2 0
17.0	5.203	42	3 1 0
21.7	4.092	20	0 2 1
22.3	3.979	83	3 1 1
28.8	3.101	100	3 3 0
30.2	2.958	51	6 0 0
30.5	2.931	36	1 1 2
33.8	2.656	26	3 1 2
34.9	2.573	24	2 2 2
39.2	2.299	24	4 2 2

=====

Calculated powder XRD pattern of PmMg5Ag3 for Cu Kα (λ = 1.5418 Å), from a crystal structure in Alexandria, relaxed with GGA-PBE.
Peak positions follow from Bragg's law for the DFT cell and can differ from measured ones.

Atomic structure:
abc: 3.366 15.196 15.610
angles: 90.00 90.00 90.00
Space group Cmcm (No. 63)
Symmetry-distinct sites (fractional):
1 Pm 0.000 0.160 0.250 (multiplicity 4)
2 Mg 0.000 0.000 0.000 (multiplicity 4)
3 Mg 0.000 0.193 0.572 (multiplicity 8)
4 Mg 0.000 0.464 0.158 (multiplicity 8)
5 Ag 0.000 0.156 0.750 (multiplicity 4)
6 Ag 0.000 0.372 0.572 (multiplicity 8)

Principal peaks in the range 2θ = 10–80°, sorted by position:
Position (°2θ)	d/Å	Rel. int.	(hkl)
13.0	6.832	29	0 2 1
20.7	4.293	30	0 2 3
23.4	3.799	52	0 4 0
29.5	3.028	34	1 1 2
32.2	2.778	45	1 1 3
34.0	2.638	100	1 3 2
34.5	2.602	33	0 0 6
35.7	2.514	34	1 1 4
39.6	2.277	43	0 6 3
42.1	2.147	35	0 4 6

=====

Calculated powder XRD pattern of Li3GaBi2 for Cu Kα (λ = 1.5418 Å), from a crystal structure in Alexandria, relaxed with GGA-PBE.
Peak positions follow from Bragg's law for the DFT cell and can differ from measured ones.

Atomic structure:
abc: 6.507 13.157 7.639
angles: 90.00 90.00 90.00
Space group Ibam (No. 72)
Symmetry-distinct sites (fractional):
1 Li 0.000 0.000 0.250 (multiplicity 4)
2 Li 0.000 0.276 0.250 (multiplicity 8)
3 Ga 0.000 0.500 0.000 (multiplicity 4)
4 Bi 0.212 0.140 0.000 (multiplicity 8)

Principal peaks in the range 2θ = 10–80°, sorted by position:
Position (°2θ)	d/Å	Rel. int.	(hkl)
22.5	3.957	100	1 2 1
23.3	3.820	33	0 0 2
30.6	2.918	9	2 1 1
36.0	2.492	10	0 4 2
36.3	2.476	11	2 0 2
38.9	2.314	18	2 4 0
40.4	2.231	23	1 2 3
45.2	2.005	12	1 6 1
45.6	1.989	10	3 2 1
45.9	1.979	19	2 4 2

=====

Calculated powder XRD pattern of In2FeNi for Cu Kα (λ = 1.5418 Å), from a crystal structure in Alexandria, relaxed with GGA-PBE.
Peak positions follow from Bragg's law for the DFT cell and can differ from measured ones.

Atomic structure:
abc: 10.196 2.976 4.590
angles: 90.00 108.37 90.00
Space group Cm (No. 8)
Symmetry-distinct sites (fractional):
1 In 0.000 0.000 0.000 (multiplicity 2)
2 In 0.214 0.000 0.635 (multiplicity 2)
3 Fe 0.256 0.500 0.163 (multiplicity 2)
4 Ni 0.459 0.000 0.472 (multiplicity 2)

Principal peaks in the range 2θ = 10–80°, sorted by position:
Position (°2θ)	d/Å	Rel. int.	(hkl)
31.5	2.844	20	1 1 0
31.7	2.824	19	2 0 1
36.4	2.471	18	4 0 -1
37.2	2.419	53	4 0 0
39.4	2.287	100	1 1 1
39.7	2.272	41	2 0 -2
41.5	2.178	16	0 0 2
42.1	2.147	83	3 1 -1
56.7	1.622	15	5 1 0
62.4	1.488	14	0 2 0

=====

Calculated powder XRD pattern of LaY2MgFe for Cu Kα (λ = 1.5418 Å), from a crystal structure in Alexandria, relaxed with GGA-PBE.
Peak positions follow from Bragg's law for the DFT cell and can differ from measured ones.

Atomic structure:
abc: 5.333 5.333 5.088
angles: 90.00 90.00 90.00
Space group P4/mmm (No. 123)
Symmetry-distinct sites (fractional):
1 La 0.000 0.000 0.000 (multiplicity 1)
2 Y 0.000 0.500 0.500 (multiplicity 2)
3 Mg 0.500 0.500 0.000 (multiplicity 1)
4 Fe 0.000 0.000 0.500 (multiplicity 1)

Principal peaks in the range 2θ = 10–80°, sorted by position:
Position (°2θ)	d/Å	Rel. int.	(hkl)
16.6	5.333	72	1 0 0
29.5	3.030	100	1 1 1
33.6	2.666	71	2 0 0
35.3	2.544	31	0 0 2
37.7	2.385	18	2 1 0
39.2	2.296	16	1 0 2
48.3	1.885	25	2 2 0
49.5	1.841	46	2 0 2
57.6	1.601	30	3 1 1
61.2	1.515	24	2 2 2

=====

Calculated powder XRD pattern of InAg4I5 for Cu Kα (λ = 1.5418 Å), from a crystal structure in Alexandria, relaxed with GGA-PBE.
Peak positions follow from Bragg's law for the DFT cell and can differ from measured ones.

Atomic structure:
abc: 4.7029 4.7029 41.4596
angles: 90.00 90.00 120.00
Space group P3m1 (No. 156)
Symmetry-distinct sites (fractional):
1 In 0.0000 0.0000 0.0000 (multiplicity 1)
2 In 0.0000 0.0000 0.2240 (multiplicity 1)
3 Ag 0.0000 0.0000 0.4309 (multiplicity 1)
4 Ag 0.0000 0.0000 0.6148 (multiplicity 1)
5 Ag 0.0000 0.0000 0.7986 (multiplicity 1)
6 Ag 0.3333 0.6667 0.1148 (multiplicity 1)
7 Ag 0.3333 0.6667 0.3390 (multiplicity 1)
8 Ag 0.3333 0.6667 0.5228 (multiplicity 1)
9 Ag 0.3333 0.6667 0.7066 (multiplicity 1)
10 Ag 0.3333 0.6667 0.8905 (multiplicity 1)
11 I 0.0000 0.0000 0.1369 (multiplicity 1)
12 I 0.0000 0.0000 0.3609 (multiplicity 1)
13 I 0.0000 0.0000 0.5448 (multiplicity 1)
14 I 0.0000 0.0000 0.7286 (multiplicity 1)
15 I 0.0000 0.0000 0.9125 (multiplicity 1)
16 I 0.3333 0.6667 0.0452 (multiplicity 1)
17 I 0.3333 0.6667 0.2693 (multiplicity 1)
18 I 0.3333 0.6667 0.4528 (multiplicity 1)
19 I 0.3333 0.6667 0.6367 (multiplicity 1)
20 I 0.3333 0.6667 0.8205 (multiplicity 1)

Principal peaks in the range 2θ = 10–80°, sorted by position:
Position (°2θ)	d/Å	Rel. int.	(hkl)
21.4	4.146	22	0 0 10
21.8	4.073	100	1 0 0
23.6	3.769	20	0 0 11
24.3	3.656	60	1 0 5
37.6	2.395	19	1 0 14
38.3	2.351	93	1 1 0
41.3	2.186	30	1 0 16
43.2	2.093	32	0 1 17
44.3	2.045	19	1 1 10
45.5	1.995	22	1 1 11